UMn10Si2: simulated powder XRD pattern (Cu Ka), based on a crystal structure in Alexandria, relaxed with PBE.
Peak positions follow from Bragg's law for the DFT cell and can differ from measured ones.

Main lines, in order of falling intensity (10 to 90 degrees two-theta):
2θ = 44.78°, rel. 100; 2θ = 43.24°, rel. 46; 2θ = 44.43°, rel. 42; 2θ = 30.61°, rel. 40; 2θ = 38.95°, rel. 39; 2θ = 40.66°, rel. 36

Crystal structure
Cell lengths 6.332, 6.332, 7.938 Å; angles 90.00, 90.00, 97.30 degrees
Element x y z (fractional)
U 0.129 0.871 0.750
U 0.871 0.129 0.250
Mn 0.129 0.370 0.750
Mn 0.165 0.835 0.099
Mn 0.165 0.835 0.401
Mn 0.225 0.225 0.000
Mn 0.225 0.225 0.500
Mn 0.251 0.483 0.250
Mn 0.370 0.129 0.250
Mn 0.391 0.609 0.572
Mn 0.391 0.609 0.928
Mn 0.483 0.251 0.750
Mn 0.517 0.749 0.250
Mn 0.609 0.391 0.072
Mn 0.609 0.391 0.428
Mn 0.630 0.871 0.750
Mn 0.749 0.517 0.750
Mn 0.775 0.775 0.000
Mn 0.775 0.775 0.500
Mn 0.835 0.165 0.599
Mn 0.835 0.165 0.901
Mn 0.871 0.630 0.250
Si 0.000 0.500 0.000
Si 0.000 0.500 0.500
Si 0.500 0.000 0.000
Si 0.500 0.000 0.500

U2Mn12Si7: simulated powder XRD pattern (Cu Ka), based on a crystal structure in Alexandria, relaxed with PBE.
Peak positions follow from Bragg's law for the DFT cell and can differ from measured ones.

Main lines, in order of falling intensity (10 to 90 degrees two-theta):
2θ = 38.38°, rel. 100; 2θ = 27.91°, rel. 31; 2θ = 18.18°, rel. 21; 2θ = 49.41°, rel. 20; 2θ = 10.47°, rel. 17; 2θ = 54.24°, rel. 15

Crystal structure
Cell lengths 9.760, 9.760, 3.455 Å; angles 90.00, 90.00, 120.00 degrees
Element x y z (fractional)
U 0.000 0.000 0.000
U 0.333 0.667 0.500
Mn 0.043 0.768 0.500
Mn 0.111 0.396 0.000
Mn 0.232 0.274 0.500
Mn 0.284 0.889 0.000
Mn 0.391 0.210 0.000
Mn 0.544 0.114 0.500
Mn 0.571 0.456 0.500
Mn 0.604 0.716 0.000
Mn 0.726 0.957 0.500
Mn 0.790 0.181 0.000
Mn 0.819 0.609 0.000
Mn 0.886 0.429 0.500
Si 0.071 0.617 0.000
Si 0.254 0.035 0.500
Si 0.383 0.454 0.000
Si 0.546 0.929 0.000
Si 0.667 0.333 0.000
Si 0.781 0.746 0.500
Si 0.965 0.219 0.500

Mn2VSi6: simulated powder XRD pattern (Cu Ka), based on a crystal structure in Alexandria, relaxed with PBE.
Peak positions follow from Bragg's law for the DFT cell and can differ from measured ones.

Main lines, in order of falling intensity (10 to 90 degrees two-theta):
2θ = 43.53°, rel. 100; 2θ = 50.38°, rel. 65; 2θ = 42.45°, rel. 61; 2θ = 43.06°, rel. 51; 2θ = 49.96°, rel. 31; 2θ = 27.10°, rel. 21

Crystal structure
Cell lengths 4.398, 4.398, 6.389 Å; angles 90.00, 90.00, 119.24 degrees
Element x y z (fractional)
Mn 0.000 0.500 0.166
Mn 0.500 0.000 0.834
V 0.000 0.000 0.500
Si 0.167 0.334 0.835
Si 0.333 0.667 0.500
Si 0.334 0.167 0.165
Si 0.666 0.833 0.165
Si 0.667 0.333 0.500
Si 0.833 0.666 0.835